For Rb3TmS3O12, a crystal structure in the Materials Project, relaxed with GGA-PBE gives the theoretical X-ray diffraction stick pattern in this record (Cu Kα (weighted mean of Kα1 and Kα2)).
Kinematic intensities with the Lorentz-polarization factor, no thermal factor.

Principal peaks in the range 10° ≤ 2θ ≤ 80°, by angle:
2θ 11.51, rel. 31
2θ 16.25, rel. 13
2θ 19.88, rel. 10
2θ 20.01, rel. 24
2θ 25.78, rel. 32
2θ 25.89, rel. 100
2θ 30.58, rel. 22
2θ 30.69, rel. 33
2θ 30.78, rel. 33
2θ 40.65, rel. 18
2θ 42.32, rel. 20
2θ 42.43, rel. 24

Crystal structure
a = 9.413 Å, b = 9.413 Å, c = 9.433 Å
α = 109.24°, β = 109.24°, γ = 109.51°
Atoms (fractional coordinates):
Rb 0.018 0.982 0.500
Rb 0.380 0.888 0.734
Rb 0.538 0.670 0.402
Rb 0.670 0.538 0.902
Rb 0.888 0.380 0.234
Rb 0.982 0.018 0.000
Tm 0.169 0.490 0.883
Tm 0.490 0.169 0.383
S 0.195 0.810 0.235
S 0.260 0.374 0.523
S 0.374 0.260 0.023
S 0.589 0.879 0.116
S 0.810 0.195 0.735
S 0.879 0.589 0.616
O 0.017 0.582 0.747
O 0.021 0.740 0.216
O 0.091 0.231 0.372
O 0.221 0.928 0.159
O 0.224 0.665 0.152
O 0.231 0.091 0.872
O 0.258 0.397 0.688
O 0.306 0.539 0.520
O 0.326 0.399 0.025
O 0.336 0.925 0.421
O 0.397 0.258 0.188
O 0.399 0.326 0.525
O 0.406 0.739 0.978
O 0.539 0.306 0.020
O 0.582 0.017 0.247
O 0.665 0.224 0.652
O 0.675 0.956 0.034
O 0.679 0.805 0.201
O 0.739 0.406 0.478
O 0.740 0.021 0.716
O 0.805 0.679 0.701
O 0.925 0.336 0.921
O 0.928 0.221 0.659
O 0.956 0.675 0.534